No. 1
Structure and simulated powder diffractogram of HgBi3 (a cell relaxed with PBE; Cu Kα, 1.54184 Å).
Peak positions follow from Bragg's law for the DFT cell and can differ from measured ones.

Largest 10 diffraction maxima, sorted by position, 2θ from 15° to 90°:
two_theta  I (rel.)  (hkl)
31.28  100  1 1 2
36.10  34  2 0 0
36.63  17  0 0 4
51.97  12  2 2 0
52.37  24  2 0 4
61.92  30  3 1 2
62.64  14  1 1 6
65.26  13  2 2 4
85.02  7  3 3 2
85.66  13  3 1 6

Structural model:
Cell lengths 4.9767, 4.9767, 9.8124 Å; angles 90.00, 90.00, 90.00 degrees
Space group I4/mmm (No. 139)
Unique sites:
Hg  0.0000  0.0000  0.0000 (multiplicity 2)
Bi  0.0000  0.0000  0.5000 (multiplicity 2)
Bi  0.0000  0.5000  0.2500 (multiplicity 4)


No. 2
Structure and simulated powder diffractogram of CuAgIrO4 (a cell relaxed with PBE; Cu Kα, 1.54184 Å).
Peak positions follow from Bragg's law for the DFT cell and can differ from measured ones.

Largest 10 diffraction maxima, sorted by position, 2θ from 15° to 90°:
two_theta  I (rel.)  (hkl)
17.88  65  1 0 1
27.69  17  1 1 2
31.21  69  1 0 3
33.75  100  0 2 2
35.63  22  2 1 1
36.18  23  0 0 4
46.64  20  2 2 2
57.19  59  2 2 4
65.12  16  4 0 0
68.05  18  1 4 3

Structural model:
Cell lengths 5.7255, 6.2861, 9.9345 Å; angles 90.00, 90.00, 90.00 degrees
Space group Imma (No. 74)
Unique sites:
Cu  0.2500  0.2500  0.2500 (multiplicity 4)
Ag  0.0000  0.2500  0.6732 (multiplicity 4)
Ir  0.0000  0.0000  0.0000 (multiplicity 4)
O  0.0000  0.0503  0.1993 (multiplicity 8)
O  0.2141  0.2500  0.9820 (multiplicity 8)


No. 3
Structure and simulated powder diffractogram of KNa4As2 (a cell relaxed with PBE; Cu Kα, 1.54184 Å).
Peak positions follow from Bragg's law for the DFT cell and can differ from measured ones.

Largest 10 diffraction maxima, sorted by position, 2θ from 15° to 90°:
two_theta  I (rel.)  (hkl)
20.34  37  0 0 6
21.25  42  0 1 2
24.32  40  1 0 4
31.34  21  1 0 7
34.09  71  0 1 8
35.23  100  1 1 0
41.02  32  1 1 6
49.84  23  2 0 8
55.42  23  1 1 12
62.50  23  1 2 8

Structural model:
Cell lengths 5.0943, 5.0943, 26.2085 Å; angles 90.00, 90.00, 120.00 degrees
Space group R-3m (No. 166, hexagonal axes)
Unique sites:
K  0.0000  0.0000  0.0000 (multiplicity 3)
Na  0.0000  0.0000  0.1351 (multiplicity 6)
Na  0.0000  0.0000  0.4069 (multiplicity 6)
As  0.0000  0.0000  0.2498 (multiplicity 6)


No. 4
Structure and simulated powder diffractogram of Li4Nd3USe8 (a cell relaxed with PBE; Cu Kα, 1.54184 Å).
Peak positions follow from Bragg's law for the DFT cell and can differ from measured ones.

Largest 10 diffraction maxima, sorted by position, 2θ from 15° to 90°:
two_theta  I (rel.)  (hkl)
25.05  41  0 2 1
30.74  100  0 2 4
33.73  22  2 0 5
43.35  39  2 2 0
44.69  35  2 0 8
45.63  14  2 2 3
54.08  20  4 0 4
71.72  17  2 4 4
73.66  16  2 2 12
80.50  13  4 2 8

Structural model:
Cell lengths 8.3482, 8.3482, 19.5932 Å; angles 90.00, 90.00, 120.00 degrees
Space group R-3m (No. 166, hexagonal axes)
Unique sites:
Li  0.0000  0.0000  0.0000 (multiplicity 3)
Li  0.0000  0.5000  0.0000 (multiplicity 9)
Nd  0.0000  0.5000  0.5000 (multiplicity 9)
U  0.0000  0.0000  0.5000 (multiplicity 3)
Se  0.0000  0.0000  0.2540 (multiplicity 6)
Se  0.0069  0.5035  0.2530 (multiplicity 18)


No. 5
Structure and simulated powder diffractogram of Dy4Cu2H (a cell relaxed with PBE; Cu Kα, 1.54184 Å).
Peak positions follow from Bragg's law for the DFT cell and can differ from measured ones.

Largest 10 diffraction maxima, sorted by position, 2θ from 15° to 90°:
two_theta  I (rel.)  (hkl)
27.05  18  1 0 3
29.81  100  1 1 2
37.48  34  1 1 4
37.66  34  1 0 5
38.29  54  2 0 0
54.79  23  2 1 5
55.27  18  2 2 0
55.78  13  2 0 6
60.21  13  1 1 8
64.06  23  3 1 2

Structural model:
Cell lengths 4.7010, 4.7010, 13.8670 Å; angles 90.00, 90.00, 90.00 degrees
Space group I4/mmm (No. 139)
Unique sites:
Dy  0.0000  0.0000  0.1912 (multiplicity 4)
Dy  0.0000  0.5000  0.0000 (multiplicity 4)
Cu  0.0000  0.0000  0.3838 (multiplicity 4)
H  0.0000  0.0000  0.0000 (multiplicity 2)


No. 6
Structure and simulated powder diffractogram of TaW5 (a cell relaxed with PBE; Cu Kα, 1.54184 Å).
Peak positions follow from Bragg's law for the DFT cell and can differ from measured ones.

Largest 4 diffraction maxima, sorted by position, 2θ from 15° to 90°:
two_theta  I (rel.)  (hkl)
39.79  100  3 1 0
57.53  17  0 2 0
72.23  35  5 1 2
85.77  11  6 2 0

Structural model:
Cell lengths 10.1305, 3.2021, 6.4142 Å; angles 90.00, 108.47, 90.00 degrees
Space group C2/m (No. 12)
Unique sites:
Ta  0.0000  0.0000  0.0000 (multiplicity 2)
W  0.0000  0.0000  0.5000 (multiplicity 2)
W  0.1684  0.5000  0.3364 (multiplicity 4)
W  0.1681  0.5000  0.8317 (multiplicity 4)


No. 7
Structure and simulated powder diffractogram of TmGaNi6 (a cell relaxed with PBE; Cu Kα, 1.54184 Å).
Peak positions follow from Bragg's law for the DFT cell and can differ from measured ones.

Largest 10 diffraction maxima, sorted by position, 2θ from 15° to 90°:
two_theta  I (rel.)  (hkl)
32.60  81  1 0 2
35.75  74  1 1 1
40.78  100  1 1 2
41.25  26  1 0 3
48.19  26  1 1 3
48.74  74  2 0 0
51.31  43  1 0 4
59.88  28  2 1 2
71.41  22  2 2 0
73.47  28  2 1 4

Structural model:
Cell lengths 3.7363, 3.7363, 8.1015 Å; angles 90.00, 90.00, 90.00 degrees
Space group P4/mmm (No. 123)
Unique sites:
Tm  0.0000  0.0000  0.0000 (multiplicity 1)
Ga  0.0000  0.0000  0.5000 (multiplicity 1)
Ni  0.0000  0.5000  0.3159 (multiplicity 4)
Ni  0.5000  0.5000  0.1382 (multiplicity 2)


No. 8
Structure and simulated powder diffractogram of Tb2PmNd2 (a cell relaxed with PBE; Cu Kα, 1.54184 Å).
Peak positions follow from Bragg's law for the DFT cell and can differ from measured ones.

Largest 10 diffraction maxima, sorted by position, 2θ from 15° to 90°:
two_theta  I (rel.)  (hkl)
30.27  87  1 1 2
30.71  100  1 5 0
32.26  45  2 0 0
32.72  38  0 4 2
40.54  17  0 6 2
46.61  29  2 4 2
52.73  16  2 6 2
56.56  18  3 5 0
57.42  16  1 9 2
60.98  28  1 5 4

Structural model:
Cell lengths 5.5501, 17.1006, 7.1238 Å; angles 90.00, 90.00, 90.00 degrees
Space group Cmc2_1 (No. 36)
Unique sites:
Tb  0.0000  0.0001  0.0000 (multiplicity 4)
Tb  0.0000  0.1983  0.0005 (multiplicity 4)
Pm  0.0000  0.3929  0.2523 (multiplicity 4)
Nd  0.0000  0.1986  0.5004 (multiplicity 4)
Nd  0.0000  0.3937  0.7482 (multiplicity 4)


No. 9
Structure and simulated powder diffractogram of Ba10Sb4O3 (a cell relaxed with PBE; Cu Kα, 1.54184 Å).
Peak positions follow from Bragg's law for the DFT cell and can differ from measured ones.

Largest 10 diffraction maxima, sorted by position, 2θ from 15° to 90°:
two_theta  I (rel.)  (hkl)
26.82  51  1 1 6
29.35  100  1 1 8
31.29  27  0 0 14
33.04  65  2 0 0
46.14  37  2 0 14
47.42  23  2 2 0
55.94  18  1 1 22
56.75  31  3 1 8
57.91  19  2 2 14
76.31  14  3 1 22

Structural model:
Cell lengths 5.4230, 5.4230, 40.0228 Å; angles 90.00, 90.00, 90.00 degrees
Space group I4/mmm (No. 139)
Unique sites:
Ba  0.0000  0.0000  0.0687 (multiplicity 4)
Ba  0.0000  0.0000  0.2141 (multiplicity 4)
Ba  0.0000  0.5000  0.0000 (multiplicity 4)
Ba  0.0000  0.5000  0.1382 (multiplicity 8)
Sb  0.0000  0.0000  0.3020 (multiplicity 4)
Sb  0.0000  0.0000  0.4320 (multiplicity 4)
O  0.0000  0.0000  0.0000 (multiplicity 2)
O  0.0000  0.0000  0.1382 (multiplicity 4)


No. 10
Structure and simulated powder diffractogram of Pm8SmY4 (a cell relaxed with PBE; Cu Kα, 1.54184 Å).
Peak positions follow from Bragg's law for the DFT cell and can differ from measured ones.

Largest 10 diffraction maxima, sorted by position, 2θ from 15° to 90°:
two_theta  I (rel.)  (hkl)
22.50  36  2 0 2
31.83  100  2 2 0
32.25  95  0 2 4
45.94  35  4 0 4
56.70  19  6 0 0
56.97  36  2 4 4
57.77  16  2 0 8
66.51  11  4 4 0
75.86  15  6 2 4
76.55  14  4 2 8

Structural model:
Cell lengths 11.2472, 11.2472, 13.5126 Å; angles 90.00, 90.00, 120.00 degrees
Space group R-3m (No. 166, hexagonal axes)
Unique sites:
Pm  0.0000  0.0000  0.2390 (multiplicity 6)
Pm  0.0114  0.5057  0.7434 (multiplicity 18)
Sm  0.0000  0.0000  0.5000 (multiplicity 3)
Y  0.0000  0.0000  0.0000 (multiplicity 3)
Y  0.0000  0.5000  0.0000 (multiplicity 9)


No. 11
Structure and simulated powder diffractogram of MnBiCl2 (a cell relaxed with PBE; Cu Kα, 1.54184 Å).
Peak positions follow from Bragg's law for the DFT cell and can differ from measured ones.

Largest 10 diffraction maxima, sorted by position, 2θ from 15° to 90°:
two_theta  I (rel.)  (hkl)
20.70  35  0 0 9
29.47  49  1 0 1
29.75  81  0 1 2
30.83  40  1 0 4
33.66  38  1 0 7
34.87  100  0 1 8
37.66  40  1 0 10
44.34  32  0 1 14
48.14  34  1 0 16
54.16  33  1 1 6

Structural model:
Cell lengths 3.5109, 3.5109, 38.6117 Å; angles 90.00, 90.00, 120.00 degrees
Space group R-3m (No. 166, hexagonal axes)
Unique sites:
Mn  0.0000  0.0000  0.0000 (multiplicity 3)
Bi  0.0000  0.0000  0.5000 (multiplicity 3)
Cl  0.0000  0.0000  0.3717 (multiplicity 6)


No. 12
Structure and simulated powder diffractogram of La3NdTm4 (a cell relaxed with PBE; Cu Kα, 1.54184 Å).
Peak positions follow from Bragg's law for the DFT cell and can differ from measured ones.

Largest 10 diffraction maxima, sorted by position, 2θ from 15° to 90°:
two_theta  I (rel.)  (hkl)
28.22  24  0 2 1
30.88  25  4 0 0
32.25  100  2 0 2
42.32  16  4 2 1
49.95  19  0 2 3
55.79  21  6 0 2
59.88  23  4 2 3
60.71  16  2 4 2
82.38  14  2 2 5
85.61  8  8 2 3

Structural model:
Cell lengths 11.5838, 7.3064, 6.3229 Å; angles 90.00, 90.00, 90.00 degrees
Space group Pmn2_1 (No. 31)
Unique sites:
La  0.0000  0.1295  0.0000 (multiplicity 2)
La  0.2495  0.1263  0.3340 (multiplicity 4)
Nd  0.0000  0.8678  0.5004 (multiplicity 2)
Tm  0.0000  0.3814  0.5020 (multiplicity 2)
Tm  0.0000  0.6197  0.0037 (multiplicity 2)
Tm  0.2495  0.6179  0.3332 (multiplicity 4)


No. 13
Structure and simulated powder diffractogram of Li3MgAg4 (a cell relaxed with PBE; Cu Kα, 1.54184 Å).
Peak positions follow from Bragg's law for the DFT cell and can differ from measured ones.

Largest 10 diffraction maxima, sorted by position, 2θ from 15° to 90°:
two_theta  I (rel.)  (hkl)
27.25  47  4 0 0
27.93  90  1 1 -1
39.41  100  3 1 1
39.91  49  0 2 0
49.00  36  4 2 0
57.72  16  2 2 -2
63.91  14  7 1 1
64.97  15  2 2 2
65.32  15  3 1 -3
72.13  24  3 3 1

Structural model:
Cell lengths 13.8426, 4.5175, 4.5180 Å; angles 90.00, 108.95, 90.00 degrees
Space group C2/m (No. 12)
Unique sites:
Li  0.0000  0.0000  0.0000 (multiplicity 2)
Li  0.2497  0.0000  0.2500 (multiplicity 4)
Mg  0.0000  0.5000  0.5000 (multiplicity 2)
Ag  0.1307  0.0000  0.6306 (multiplicity 4)
Ag  0.1307  0.5000  0.1307 (multiplicity 4)


No. 14
Structure and simulated powder diffractogram of Er4SbTeSe2 (a cell relaxed with PBE; Cu Kα, 1.54184 Å).
Peak positions follow from Bragg's law for the DFT cell and can differ from measured ones.

Largest 10 diffraction maxima, sorted by position, 2θ from 15° to 90°:
two_theta  I (rel.)  (hkl)
30.16  100  2 2 0
42.94  12  0 4 0
43.17  48  2 2 4
43.41  12  4 0 0
53.36  12  0 4 4
53.77  13  4 0 4
62.71  11  0 0 8
71.14  20  2 2 8
78.85  7  2 6 4
79.51  8  6 2 4

Structural model:
Cell lengths 8.3374, 8.4251, 11.8544 Å; angles 90.00, 90.00, 90.00 degrees
Space group Imma (No. 74)
Unique sites:
Er  0.0000  0.0231  0.2445 (multiplicity 8)
Er  0.2396  0.2500  0.0111 (multiplicity 8)
Sb  0.0000  0.0000  0.5000 (multiplicity 4)
Te  0.2500  0.2500  0.7500 (multiplicity 4)
Se  0.0000  0.0000  0.0000 (multiplicity 4)
Se  0.2500  0.2500  0.2500 (multiplicity 4)